[1]
Calculated PXRD pattern
Compound: InGaP2
Radiation: λ = 1.5418 Å (Cu Kα)
Structure: DFT lattice parameters and positions (PBE)
Intensities are scaled so that the largest is 100.

Main lines, by angle (2θ = 10–80°):
| Position (°2θ) | I (rel.) |
| --- | --- |
| 13.35 | 5 |
| 26.91 | 100 |
| 31.17 | 21 |
| 44.67 | 58 |
| 52.92 | 44 |
| 55.50 | 4 |
| 65.02 | 9 |
| 71.64 | 9 |
| 71.75 | 9 |
| 73.86 | 7 |

Cell and atoms:
```
InGaP2
1.0
4.055 0.000 0.000
-2.027 3.512 0.000
0.000 0.000 19.903
In Ga P
3 3 6
Direct
0.000 0.000 0.000
0.333 0.667 0.667
0.667 0.333 0.333
0.000 0.000 0.500
0.333 0.667 0.167
0.667 0.333 0.833
0.000 0.000 0.130
0.000 0.000 0.619
0.333 0.667 0.286
0.333 0.667 0.796
0.667 0.333 0.463
0.667 0.333 0.953
```

[2]
Calculated PXRD pattern
Compound: LaGa2Ni3
Radiation: λ = 1.5418 Å (Cu Kα)
Structure: DFT lattice parameters and positions (PBE)
Intensities are scaled so that the largest is 100.

Main lines, by angle (2θ = 10–80°):
| Position (°2θ) | I (rel.) |
| --- | --- |
| 31.59 | 77 |
| 34.75 | 44 |
| 37.59 | 100 |
| 40.34 | 75 |
| 41.17 | 92 |
| 43.57 | 63 |
| 46.11 | 52 |
| 56.90 | 21 |
| 60.88 | 43 |
| 64.18 | 19 |

Cell and atoms:
```
LaGa2Ni3
1.0
8.942 0.000 0.000
-4.471 7.744 0.000
0.000 0.000 4.154
La Ga Ni
3 6 9
Direct
0.000 0.000 0.000
0.333 0.667 0.500
0.667 0.333 0.500
0.000 0.278 0.500
0.000 0.510 0.000
0.278 0.000 0.500
0.490 0.490 0.000
0.510 0.000 0.000
0.722 0.722 0.500
0.000 0.708 0.500
0.179 0.366 0.000
0.187 0.821 0.000
0.292 0.292 0.500
0.366 0.179 0.000
0.634 0.813 0.000
0.708 0.000 0.500
0.813 0.634 0.000
0.821 0.187 0.000
```

[3]
Calculated PXRD pattern
Compound: BaBiO3
Radiation: λ = 1.5418 Å (Cu Kα)
Structure: DFT lattice parameters and positions (PBE)
Intensities are scaled so that the largest is 100.

Main lines, by angle (2θ = 10–80°):
| Position (°2θ) | I (rel.) |
| --- | --- |
| 20.10 | 17 |
| 28.45 | 99 |
| 28.71 | 100 |
| 40.86 | 53 |
| 50.37 | 24 |
| 50.54 | 44 |
| 51.02 | 21 |
| 59.45 | 17 |
| 66.79 | 19 |
| 67.20 | 19 |

Cell and atoms:
```
BaBiO3
1.0
3.138 1.812 5.055
-3.138 1.812 5.055
0.000 -3.623 5.055
Ba Bi O
2 2 6
Direct
0.250 0.250 0.250
0.750 0.750 0.750
0.000 0.000 0.000
0.500 0.500 0.500
0.195 0.740 0.320
0.260 0.680 0.805
0.320 0.195 0.740
0.680 0.805 0.260
0.740 0.320 0.195
0.805 0.260 0.680
```

[4]
Calculated PXRD pattern
Compound: Cs2NaScBr6
Radiation: λ = 1.5418 Å (Cu Kα)
Structure: DFT lattice parameters and positions (PBE)
Intensities are scaled so that the largest is 100.

Main lines, by angle (2θ = 10–80°):
| Position (°2θ) | I (rel.) |
| --- | --- |
| 22.30 | 16 |
| 27.40 | 100 |
| 31.74 | 74 |
| 39.14 | 6 |
| 45.51 | 51 |
| 53.94 | 42 |
| 56.55 | 17 |
| 66.32 | 8 |
| 73.18 | 16 |
| 75.40 | 21 |

Cell and atoms:
```
Cs2NaScBr6
1.0
0.000 5.638 5.638
5.638 0.000 5.638
5.638 5.638 0.000
Cs Na Sc Br
2 1 1 6
Direct
0.250 0.250 0.250
0.750 0.750 0.750
0.000 0.000 0.000
0.500 0.500 0.500
0.263 0.263 0.737
0.263 0.737 0.263
0.263 0.737 0.737
0.737 0.263 0.263
0.737 0.263 0.737
0.737 0.737 0.263
```

[5]
Calculated PXRD pattern
Compound: BaMg6C
Radiation: λ = 1.5418 Å (Cu Kα)
Structure: DFT lattice parameters and positions (PBE)
Intensities are scaled so that the largest is 100.

Main lines, by angle (2θ = 10–80°):
| Position (°2θ) | I (rel.) |
| --- | --- |
| 12.60 | 100 |
| 22.08 | 41 |
| 25.35 | 42 |
| 25.66 | 41 |
| 28.74 | 93 |
| 33.64 | 33 |
| 33.93 | 48 |
| 34.11 | 73 |
| 36.41 | 78 |
| 46.81 | 32 |

Cell and atoms:
```
BaMg6C
1.0
3.467 0.000 0.000
0.000 8.144 0.000
0.000 0.000 13.896
Ba Mg C
2 12 2
Direct
0.000 0.000 0.000
0.000 0.500 0.500
0.000 0.000 0.436
0.000 0.171 0.779
0.000 0.329 0.279
0.000 0.500 0.936
0.000 0.671 0.279
0.000 0.829 0.779
0.500 0.000 0.237
0.500 0.170 0.614
0.500 0.330 0.114
0.500 0.500 0.737
0.500 0.670 0.114
0.500 0.830 0.614
0.500 0.000 0.753
0.500 0.500 0.253
```

[6]
Calculated PXRD pattern
Compound: Sm2C3N6
Radiation: λ = 1.5418 Å (Cu Kα)
Structure: DFT lattice parameters and positions (PBE)
Intensities are scaled so that the largest is 100.

Main lines, by angle (2θ = 10–80°):
| Position (°2θ) | I (rel.) |
| --- | --- |
| 16.80 | 100 |
| 23.45 | 73 |
| 24.34 | 63 |
| 28.11 | 42 |
| 28.58 | 92 |
| 32.81 | 33 |
| 34.90 | 73 |
| 40.68 | 28 |
| 41.10 | 40 |
| 47.00 | 26 |

Cell and atoms:
```
Sm2C3N6
1.0
7.358 -1.964 0.000
7.358 1.964 0.000
-0.585 0.000 5.278
Sm C N
2 3 6
Direct
0.135 0.135 0.071
0.865 0.865 0.929
0.000 0.000 0.500
0.328 0.328 0.406
0.672 0.672 0.594
0.011 0.011 0.734
0.310 0.310 0.170
0.342 0.342 0.637
0.658 0.658 0.363
0.690 0.690 0.830
0.989 0.989 0.266
```

[7]
Calculated PXRD pattern
Compound: Cs2SbAuCl6
Radiation: λ = 1.5418 Å (Cu Kα)
Structure: DFT lattice parameters and positions (PBE)
Intensities are scaled so that the largest is 100.

Main lines, by angle (2θ = 10–80°):
| Position (°2θ) | I (rel.) |
| --- | --- |
| 16.38 | 8 |
| 23.25 | 100 |
| 33.11 | 51 |
| 40.85 | 47 |
| 47.53 | 35 |
| 53.56 | 22 |
| 59.15 | 12 |
| 64.43 | 25 |
| 74.38 | 12 |
| 79.16 | 16 |

Cell and atoms:
```
Cs2SbAuCl6
1.0
0.000 5.411 5.411
5.411 0.000 5.411
5.411 5.411 0.000
Cs Sb Au Cl
2 1 1 6
Direct
0.250 0.250 0.250
0.750 0.750 0.750
0.000 0.000 0.000
0.500 0.500 0.500
0.247 0.247 0.753
0.247 0.753 0.247
0.247 0.753 0.753
0.753 0.247 0.247
0.753 0.247 0.753
0.753 0.753 0.247
```

[8]
Calculated PXRD pattern
Compound: DyH4I3O11
Radiation: λ = 1.5418 Å (Cu Kα)
Structure: DFT lattice parameters and positions (PBE)
Intensities are scaled so that the largest is 100.

Main lines, by angle (2θ = 10–80°):
| Position (°2θ) | I (rel.) |
| --- | --- |
| 12.52 | 76 |
| 15.06 | 74 |
| 23.10 | 72 |
| 23.33 | 54 |
| 25.39 | 88 |
| 25.67 | 65 |
| 26.90 | 42 |
| 27.74 | 100 |
| 28.06 | 53 |
| 31.66 | 40 |

Cell and atoms:
```
DyH4I3O11
1.0
7.133 0.000 0.000
-2.373 7.180 0.000
-2.994 -1.804 10.271
Dy H I O
2 8 6 22
Direct
0.098 0.417 0.287
0.902 0.583 0.713
0.135 0.257 0.889
0.191 0.072 0.877
0.240 0.105 0.361
0.270 0.094 0.220
0.730 0.906 0.780
0.760 0.895 0.639
0.809 0.928 0.123
0.865 0.743 0.111
0.263 0.728 0.052
0.290 0.363 0.663
0.303 0.841 0.562
0.697 0.159 0.438
0.710 0.637 0.337
0.737 0.272 0.948
0.058 0.621 0.126
0.095 0.833 0.631
0.099 0.790 0.910
0.138 0.719 0.396
0.231 0.166 0.283
0.241 0.555 0.748
0.246 0.209 0.879
0.288 0.466 0.514
0.355 0.084 0.527
0.393 0.960 0.153
0.426 0.563 0.256
0.574 0.437 0.744
0.607 0.040 0.847
0.645 0.916 0.473
0.712 0.534 0.486
0.754 0.791 0.121
0.759 0.445 0.252
0.769 0.834 0.717
0.862 0.281 0.604
0.901 0.210 0.090
0.905 0.167 0.369
0.942 0.379 0.874
```

[9]
Calculated PXRD pattern
Compound: KMg6TiO8
Radiation: λ = 1.5418 Å (Cu Kα)
Structure: DFT lattice parameters and positions (PBE)
Intensities are scaled so that the largest is 100.

Main lines, by angle (2θ = 10–80°):
| Position (°2θ) | I (rel.) |
| --- | --- |
| 19.76 | 7 |
| 28.68 | 6 |
| 35.07 | 26 |
| 40.14 | 100 |
| 41.86 | 41 |
| 58.06 | 29 |
| 59.39 | 50 |
| 69.67 | 10 |
| 72.07 | 5 |
| 74.11 | 23 |

Cell and atoms:
```
KMg6TiO8
1.0
4.493 0.000 0.000
0.000 4.493 0.000
0.000 0.000 8.631
K Mg Ti O
1 6 1 8
Direct
0.000 0.000 0.000
0.000 0.500 0.243
0.000 0.500 0.757
0.500 0.000 0.243
0.500 0.000 0.757
0.500 0.500 0.000
0.500 0.500 0.500
0.000 0.000 0.500
0.000 0.000 0.280
0.000 0.000 0.720
0.000 0.500 0.000
0.000 0.500 0.500
0.500 0.000 0.000
0.500 0.000 0.500
0.500 0.500 0.253
0.500 0.500 0.747
```